No. 1
Starting from a GGA-PBE-relaxed structure, the XRD peak list of CeNd3Si8 was computed for Cu Kα, 1.54184 Å.
Intensities are scaled so that the largest is 100.

Most intense lines, 10 to 90 degrees two-theta, in order of rising 2θ:
2θ (°), intensity, h k l
22.3, 38, 1 0 1
25.1, 22, 0 0 4
28.6, 51, 1 0 3
33.0, 100, 1 1 2
38.4, 42, 1 0 5
43.6, 31, 2 0 0
59.5, 23, 2 1 5
73.4, 20, 3 1 2

Structural model:
```
data_CeNd3Si8
_chemical_formula_sum 'Ce1 Nd3 Si8'
_symmetry_space_group_name_H-M 'P -4 m 2'
_symmetry_Int_Tables_number 115
_symmetry_space_group_name_Hall 'P -4 -2'
_cell_length_a 4.149
_cell_length_b 4.149
_cell_length_c 14.218
_cell_angle_alpha 90.00
_cell_angle_beta 90.00
_cell_angle_gamma 90.00
loop_
_atom_site_label
_atom_site_fract_x
_atom_site_fract_y
_atom_site_fract_z
Ce1 0.000 0.000 0.000
Nd1 0.000 0.500 0.751
Nd2 0.500 0.500 0.500
Si1 0.000 0.000 0.416
Si2 0.000 0.500 0.164
Si3 0.000 0.500 0.332
Si4 0.500 0.500 0.082
```

***

No. 2
Starting from a GGA-PBE-relaxed structure, the XRD peak list of CeNd2Si2 was computed for Cu Kα, 1.54184 Å.
Intensities are scaled so that the largest is 100.

Most intense lines, 10 to 90 degrees two-theta, in order of rising 2θ:
2θ (°), intensity, h k l
30.0, 35, 4 0 -1
30.1, 38, 3 1 -1
31.0, 69, 3 1 -2
31.1, 100, 1 1 2
33.2, 37, 2 0 -4
34.5, 55, 3 1 -3
36.6, 47, 3 1 1
41.1, 43, 0 2 0

Structural model:
```
data_CeNd2Si2
_chemical_formula_sum 'Ce4 Nd8 Si8'
_symmetry_space_group_name_H-M 'C 1 2/m 1'
_symmetry_Int_Tables_number 12
_symmetry_space_group_name_Hall '-C 2y'
_cell_length_a 12.122
_cell_length_b 4.388
_cell_length_c 10.798
_cell_angle_alpha 90.00
_cell_angle_beta 116.82
_cell_angle_gamma 90.00
loop_
_atom_site_label
_atom_site_fract_x
_atom_site_fract_y
_atom_site_fract_z
Ce1 0.214 0.000 0.365
Nd1 0.010 0.500 0.685
Nd2 0.185 0.500 0.098
Si1 0.026 0.000 0.903
Si2 0.111 0.000 0.567
```

***

No. 3
Starting from a GGA-PBE-relaxed structure, the XRD peak list of Ce5Nd5Si6 was computed for Cu Kα, 1.54184 Å.
Intensities are scaled so that the largest is 100.

Most intense lines, 10 to 90 degrees two-theta, in order of rising 2θ:
2θ (°), intensity, h k l
25.0, 40, 0 0 2
26.9, 68, 1 3 0
32.3, 100, 3 1 0
32.4, 52, 1 3 -2
32.7, 45, 3 1 -3
34.3, 59, 2 2 1
34.8, 55, 2 2 -3
37.5, 39, 4 2 -2

Structural model:
```
data_Ce5Nd5Si6
_chemical_formula_sum 'Ce10 Nd10 Si12'
_symmetry_space_group_name_H-M 'C 1 m 1'
_symmetry_Int_Tables_number 8
_symmetry_space_group_name_Hall 'C -2y'
_cell_length_a 10.707
_cell_length_b 10.777
_cell_length_c 8.834
_cell_angle_alpha 90.00
_cell_angle_beta 126.34
_cell_angle_gamma 90.00
loop_
_atom_site_label
_atom_site_fract_x
_atom_site_fract_y
_atom_site_fract_z
Ce1 0.000 0.000 0.000
Ce2 0.042 0.238 0.203
Ce3 0.165 0.320 0.993
Nd1 0.138 0.500 0.565
Nd2 0.273 0.000 0.549
Nd3 0.344 0.000 0.975
Nd4 0.455 0.319 0.557
Si1 0.195 0.500 0.275
Si2 0.311 0.252 0.773
Si3 0.324 0.116 0.274
Si4 0.425 0.500 0.274
```

***

No. 4
Starting from a GGA-PBE-relaxed structure, the XRD peak list of CeNdSm4 was computed for Cu Kα, 1.54184 Å.
Intensities are scaled so that the largest is 100.

Most intense lines, 10 to 90 degrees two-theta, in order of rising 2θ:
2θ (°), intensity, h k l
27.5, 51, 1 1 -1
30.1, 72, 2 0 2
30.9, 100, 4 0 -2
35.2, 95, 3 1 -1
41.2, 35, 1 1 3
54.0, 21, 6 0 0
62.3, 25, 7 1 -3
63.0, 26, 4 2 -2

Structural model:
```
data_CeNdSm4
_chemical_formula_sum 'Ce2 Nd2 Sm8'
_symmetry_space_group_name_H-M 'C 1 2/m 1'
_symmetry_Int_Tables_number 12
_symmetry_space_group_name_Hall '-C 2y'
_cell_length_a 11.593
_cell_length_b 3.431
_cell_length_c 11.585
_cell_angle_alpha 90.00
_cell_angle_beta 118.44
_cell_angle_gamma 90.00
loop_
_atom_site_label
_atom_site_fract_x
_atom_site_fract_y
_atom_site_fract_z
Ce1 0.000 0.000 0.000
Nd1 0.000 0.500 0.500
Sm1 0.157 0.000 0.339
Sm2 0.158 0.500 0.846
```

***

No. 5
Starting from a GGA-PBE-relaxed structure, the XRD peak list of CeNd3Sm6 was computed for Cu Kα, 1.54184 Å.
Intensities are scaled so that the largest is 100.

Most intense lines, 10 to 90 degrees two-theta, in order of rising 2θ:
2θ (°), intensity, h k l
29.0, 67, 1 1 3
30.9, 100, 3 0 0
32.2, 15, 1 0 4
41.3, 13, 2 1 4
42.9, 22, 4 -2 3
53.7, 23, 4 1 3
54.9, 19, 3 3 0
56.9, 13, 3 0 6

Structural model:
```
data_CeNd3Sm6
_chemical_formula_sum 'Ce3 Nd9 Sm18'
_symmetry_space_group_name_H-M 'R 3'
_symmetry_Int_Tables_number 146
_symmetry_space_group_name_Hall 'R 3'
_cell_length_a 10.0317
_cell_length_b 10.0317
_cell_length_c 11.7173
_cell_angle_alpha 90.00
_cell_angle_beta 90.00
_cell_angle_gamma 120.00
loop_
_atom_site_label
_atom_site_fract_x
_atom_site_fract_y
_atom_site_fract_z
Ce1 0.0000 0.0000 0.0000
Nd1 0.0000 0.0000 0.2430
Nd2 0.0000 0.0000 0.5000
Nd3 0.0000 0.0000 0.7572
Sm1 0.9998 0.3206 0.0007
Sm2 0.9999 0.6745 0.5008
```

***

No. 6
Starting from a GGA-PBE-relaxed structure, the XRD peak list of CeNdSm4 was computed for Cu Kα, 1.54184 Å.
Intensities are scaled so that the largest is 100.

Most intense lines, 10 to 90 degrees two-theta, in order of rising 2θ:
2θ (°), intensity, h k l
27.2, 34, 0 1 3
29.4, 28, 1 0 3
30.3, 51, 0 4 0
30.7, 100, 2 2 0
33.2, 41, 1 2 3
38.4, 27, 2 1 3
42.7, 20, 1 4 3
54.1, 20, 2 6 0

Structural model:
```
data_CeNdSm4
_chemical_formula_sum 'Ce4 Nd4 Sm16'
_symmetry_space_group_name_H-M 'I m m a'
_symmetry_Int_Tables_number 74
_symmetry_space_group_name_Hall '-I 2b 2'
_cell_length_a 6.699
_cell_length_b 11.796
_cell_length_c 10.235
_cell_angle_alpha 90.00
_cell_angle_beta 90.00
_cell_angle_gamma 90.00
loop_
_atom_site_label
_atom_site_fract_x
_atom_site_fract_y
_atom_site_fract_z
Ce1 0.250 0.250 0.250
Nd1 0.000 0.000 0.000
Sm1 0.000 0.006 0.334
Sm2 0.246 0.250 0.580
```

***

No. 7
Starting from a GGA-PBE-relaxed structure, the XRD peak list of CeNdSm6 was computed for Cu Kα, 1.54184 Å.
Intensities are scaled so that the largest is 100.

Most intense lines, 10 to 90 degrees two-theta, in order of rising 2θ:
2θ (°), intensity, h k l
30.2, 100, 2 2 0
35.0, 51, 2 0 4
50.3, 30, 2 4 4
59.8, 36, 4 2 4
59.9, 7, 0 6 4
62.7, 6, 4 4 0
81.9, 12, 4 6 4
84.5, 14, 2 8 4

Structural model:
```
data_CeNdSm6
_chemical_formula_sum 'Ce4 Nd4 Sm24'
_symmetry_space_group_name_H-M 'F m m m'
_symmetry_Int_Tables_number 69
_symmetry_space_group_name_Hall '-F 2 2'
_cell_length_a 7.265
_cell_length_b 10.248
_cell_length_c 14.490
_cell_angle_alpha 90.00
_cell_angle_beta 90.00
_cell_angle_gamma 90.00
loop_
_atom_site_label
_atom_site_fract_x
_atom_site_fract_y
_atom_site_fract_z
Ce1 0.000 0.000 0.000
Nd1 0.000 0.000 0.500
Sm1 0.000 0.000 0.247
Sm2 0.250 0.250 0.124
```

***

No. 8
Starting from a GGA-PBE-relaxed structure, the XRD peak list of CeNd6Sm10 was computed for Cu Kα, 1.54184 Å.
Intensities are scaled so that the largest is 100.

Most intense lines, 10 to 90 degrees two-theta, in order of rising 2θ:
2θ (°), intensity, h k l
30.5, 32, 2 1 1
31.4, 100, 2 -1 2
40.1, 9, 3 1 1
45.0, 14, 2 2 2
48.2, 11, 5 -2 1
55.8, 20, 1 1 4
58.6, 10, 4 0 3
61.8, 9, 5 1 1

Structural model:
```
data_CeNd6Sm10
_chemical_formula_sum 'Ce1 Nd6 Sm10'
_symmetry_space_group_name_H-M 'P -3 1 m'
_symmetry_Int_Tables_number 162
_symmetry_space_group_name_Hall '-P 3 2'
_cell_length_a 9.8733
_cell_length_b 9.8733
_cell_length_c 6.9893
_cell_angle_alpha 90.00
_cell_angle_beta 90.00
_cell_angle_gamma 120.00
loop_
_atom_site_label
_atom_site_fract_x
_atom_site_fract_y
_atom_site_fract_z
Ce1 0.0000 0.0000 0.0000
Nd1 0.0000 0.3788 0.2027
Sm1 0.0000 0.2682 0.6885
Sm2 0.3333 0.6667 0.0000
Sm3 0.3333 0.6667 0.5000
```

***

No. 9
Starting from a GGA-PBE-relaxed structure, the XRD peak list of CeNd2SmTm was computed for Cu Kα, 1.54184 Å.
Intensities are scaled so that the largest is 100.

Most intense lines, 10 to 90 degrees two-theta, in order of rising 2θ:
2θ (°), intensity, h k l
28.6, 56, 0 0 2
29.1, 85, 2 1 -1
29.2, 86, 2 1 1
30.0, 100, 1 2 0
32.0, 39, 0 1 2
33.4, 56, 1 2 -1
33.7, 77, 1 1 2
56.8, 39, 2 3 -2

Structural model:
```
data_CeNd2SmTm
_chemical_formula_sum 'Ce2 Nd4 Sm2 Tm2'
_symmetry_space_group_name_H-M 'P 1 2/c 1'
_symmetry_Int_Tables_number 13
_symmetry_space_group_name_Hall '-P 2yc'
_cell_length_a 8.441
_cell_length_b 6.356
_cell_length_c 6.235
_cell_angle_alpha 90.00
_cell_angle_beta 90.28
_cell_angle_gamma 90.00
loop_
_atom_site_label
_atom_site_fract_x
_atom_site_fract_y
_atom_site_fract_z
Ce1 0.000 0.047 0.250
Nd1 0.306 0.197 0.748
Sm1 0.000 0.500 0.000
Tm1 0.500 0.322 0.250
```

***

No. 10
Starting from a GGA-PBE-relaxed structure, the XRD peak list of CeNdSm2Y5 was computed for Cu Kα, 1.54184 Å.
Intensities are scaled so that the largest is 100.

Most intense lines, 10 to 90 degrees two-theta, in order of rising 2θ:
2θ (°), intensity, h k l
28.6, 73, 2 1 3
28.9, 49, 2 2 0
30.8, 100, 2 0 4
32.4, 19, 3 1 0
37.0, 21, 2 1 5
37.6, 26, 3 2 1
43.1, 32, 4 0 2
52.5, 19, 4 2 4

Structural model:
```
data_CeNdSm2Y5
_chemical_formula_sum 'Ce4 Nd4 Sm8 Y20'
_symmetry_space_group_name_H-M 'I 4/m c m'
_symmetry_Int_Tables_number 140
_symmetry_space_group_name_Hall '-I 4 2c'
_cell_length_a 8.726
_cell_length_b 8.726
_cell_length_c 15.555
_cell_angle_alpha 90.00
_cell_angle_beta 90.00
_cell_angle_gamma 90.00
loop_
_atom_site_label
_atom_site_fract_x
_atom_site_fract_y
_atom_site_fract_z
Ce1 0.000 0.500 0.250
Nd1 0.000 0.000 0.250
Sm1 0.119 0.381 0.000
Y1 0.000 0.000 0.000
Y2 0.201 0.299 0.362
```

***

No. 11
Starting from a GGA-PBE-relaxed structure, the XRD peak list of Ce2Nd3Sn3 was computed for Cu Kα, 1.54184 Å.
Intensities are scaled so that the largest is 100.

Most intense lines, 10 to 90 degrees two-theta, in order of rising 2θ:
2θ (°), intensity, h k l
27.5, 18, 0 0 2
29.0, 30, 2 1 0
32.1, 100, 2 1 1
32.9, 62, 3 0 0
33.6, 87, 1 1 2
47.7, 23, 2 2 2
51.7, 27, 2 1 3
67.3, 18, 3 0 4

Structural model:
```
data_Ce2Nd3Sn3
_chemical_formula_sum 'Ce4 Nd6 Sn6'
_symmetry_space_group_name_H-M 'P 63/m c m'
_symmetry_Int_Tables_number 193
_symmetry_space_group_name_Hall '-P 6c 2'
_cell_length_a 9.4196
_cell_length_b 9.4196
_cell_length_c 6.4800
_cell_angle_alpha 90.00
_cell_angle_beta 90.00
_cell_angle_gamma 120.00
loop_
_atom_site_label
_atom_site_fract_x
_atom_site_fract_y
_atom_site_fract_z
Ce1 0.3333 0.6667 0.0000
Nd1 0.0000 0.2537 0.2500
Sn1 0.0000 0.3873 0.7500
```

***

No. 12
Starting from a GGA-PBE-relaxed structure, the XRD peak list of CeNd4Sn15 was computed for Cu Kα, 1.54184 Å.
Intensities are scaled so that the largest is 100.

Most intense lines, 10 to 90 degrees two-theta, in order of rising 2θ:
2θ (°), intensity, h k l
32.5, 100, 1 1 5
37.3, 17, 0 0 10
37.9, 33, 2 0 0
54.3, 24, 2 0 10
64.3, 14, 1 1 15
65.1, 28, 3 1 5
68.1, 12, 2 2 10
89.4, 13, 3 1 15

Structural model:
```
data_CeNd4Sn15
_chemical_formula_sum 'Ce1 Nd4 Sn15'
_symmetry_space_group_name_H-M 'P 4/m m m'
_symmetry_Int_Tables_number 123
_symmetry_space_group_name_Hall '-P 4 2'
_cell_length_a 4.743
_cell_length_b 4.743
_cell_length_c 24.088
_cell_angle_alpha 90.00
_cell_angle_beta 90.00
_cell_angle_gamma 90.00
loop_
_atom_site_label
_atom_site_fract_x
_atom_site_fract_y
_atom_site_fract_z
Ce1 0.000 0.000 0.000
Nd1 0.000 0.000 0.196
Nd2 0.000 0.000 0.399
Sn1 0.000 0.500 0.098
Sn2 0.000 0.500 0.299
Sn3 0.000 0.500 0.500
Sn4 0.500 0.500 0.000
Sn5 0.500 0.500 0.199
Sn6 0.500 0.500 0.399
```